Record 1
# TbCd4Au2
Computed powder XRD pattern, λ = 1.5418 Å (Cu Kα). Input: a crystal structure in Alexandria, relaxed with GGA-PBE.

The 6 most intense peaks (15 to 90 degrees two-theta), low angle first:
2θ 23.18, d 3.838, intensity 37; 2θ 31.09, d 2.877, intensity 72; 2θ 36.10, d 2.488, intensity 100; 2θ 37.64, d 2.389, intensity 33; 2θ 41.56, d 2.173, intensity 34; 2θ 43.48, d 2.081, intensity 28

Atomic structure:
```
data_TbCd4Au2
_symmetry_space_group_name_H-M 'P 42/m n m'
_symmetry_Int_Tables_number 136
_symmetry_space_group_name_Hall '-P 4n 2n'
_cell_length_a 8.582
_cell_length_b 8.582
_cell_length_c 4.346
_cell_angle_alpha 90.00
_cell_angle_beta 90.00
_cell_angle_gamma 90.00
loop_
_atom_site_label
_atom_site_fract_x
_atom_site_fract_y
_atom_site_fract_z
_atom_site_occupancy
Tb1 0.000 0.000 0.000 1
Cd1 0.105 0.350 0.500 1
Au1 0.169 0.831 0.500 1
```

---

Record 2
# TbCd3Au4
Computed powder XRD pattern, λ = 1.5418 Å (Cu Kα). Input: a crystal structure in Alexandria, relaxed with GGA-PBE.

The 6 most intense peaks (15 to 90 degrees two-theta), low angle first:
2θ 36.65, d 2.452, intensity 100; 2θ 37.07, d 2.425, intensity 49; 2θ 53.43, d 1.715, intensity 17; 2θ 65.73, d 1.421, intensity 18; 2θ 66.54, d 1.405, intensity 35; 2θ 77.93, d 1.226, intensity 11

Atomic structure:
```
data_TbCd3Au4
_symmetry_space_group_name_H-M 'P m m a'
_symmetry_Int_Tables_number 51
_cell_length_a 9.700
_cell_length_b 7.012
_cell_length_c 4.852
_cell_angle_alpha 90.00
_cell_angle_beta 90.00
_cell_angle_gamma 90.00
loop_
_symmetry_equiv_pos_as_xyz
'x,y,z'
'-x,-y,-z'
'-x+1/2,-y,z'
'x+1/2,y,-z'
'x+1/2,-y,-z'
'-x+1/2,y,z'
'-x,y,-z'
'x,-y,z'
loop_
_atom_site_label
_atom_site_fract_x
_atom_site_fract_y
_atom_site_fract_z
_atom_site_occupancy
Tb1 0.000 0.000 0.000 1
Cd1 0.000 0.500 0.000 1
Cd2 0.250 0.000 0.496 1
Cd3 0.250 0.500 0.494 1
Au1 0.000 0.258 0.500 1
Au2 0.250 0.258 0.994 1
```